Theoretical powder XRD pattern
Compound: Mg6VSn
Radiation: Cu Kα (weighted mean of Kα1 and Kα2)
Structure: DFT lattice parameters and positions (PBE)

Cell and atoms:
a b c (Å): 5.0426 6.2584 6.2584
angles (deg): 60.40 90.00 90.00
Positions (direct):
Mg1 0.0000 0.0000 0.0000
Mg2 0.0000 0.0083 0.4972
Mg3 0.0000 0.4972 0.0083
Mg4 0.5000 0.3337 0.8415
Mg5 0.5000 0.8341 0.8341
Mg6 0.5000 0.8415 0.3337
V1 0.5000 0.3381 0.3381
Sn1 0.0000 0.4950 0.4950

The 6 most intense peaks (10 to 90 degrees two-theta), by angle:
- d 5.434, 2θ = 16.31°, rel. 80.7
- d 3.694, 2θ = 24.09°, rel. 51.7
- d 2.721, 2θ = 32.92°, rel. 31.3
- d 2.521, 2θ = 35.61°, rel. 39.9
- d 2.394, 2θ = 37.56°, rel. 100.0
- d 2.383, 2θ = 37.74°, rel. 55.4



Theoretical powder XRD pattern
Compound: Mg6VSn
Radiation: Cu Kα (weighted mean of Kα1 and Kα2)
Structure: DFT lattice parameters and positions (PBE)

Cell and atoms:
a b c (Å): 5.0671 6.3296 6.3296
angles (deg): 57.53 90.00 90.00
Positions (direct):
Mg1 0.0000 0.0000 0.0000
Mg2 0.0000 0.0069 0.4876
Mg3 0.0000 0.4876 0.0069
Mg4 0.0000 0.4913 0.4913
Mg5 0.5000 0.3352 0.8328
Mg6 0.5000 0.8328 0.3352
V1 0.5000 0.3347 0.3347
Sn1 0.5000 0.8341 0.8341

The 6 most intense peaks (10 to 90 degrees two-theta), by angle:
- d 5.549, 2θ = 15.97°, rel. 38.4
- d 5.067, 2θ = 17.50°, rel. 30.8
- d 2.670, 2θ = 33.56°, rel. 34.8
- d 2.534, 2θ = 35.43°, rel. 40.2
- d 2.433, 2θ = 36.94°, rel. 59.0
- d 2.362, 2θ = 38.10°, rel. 100.0



Theoretical powder XRD pattern
Compound: MgVSn4
Radiation: Cu Kα (weighted mean of Kα1 and Kα2)
Structure: DFT lattice parameters and positions (PBE)

Cell and atoms:
a b c (Å): 7.6128 7.6128 7.6128
angles (deg): 125.85 125.85 80.13
Positions (direct):
Mg1 0.0000 0.0000 0.0000
Mg2 0.5000 0.5000 0.0000
V1 0.2500 0.2500 0.0000
V2 0.7500 0.7500 0.0000
Sn1 0.0171 0.5171 0.8142
Sn2 0.2028 0.0171 0.5000
Sn3 0.2972 0.7972 0.8142
Sn4 0.4829 0.2972 0.5000
Sn5 0.5171 0.7028 0.5000
Sn6 0.7028 0.2028 0.1858
Sn7 0.7972 0.9829 0.5000
Sn8 0.9829 0.4829 0.1858

The 6 most intense peaks (10 to 90 degrees two-theta), by angle:
- d 2.995, 2θ = 29.83°, rel. 93.4
- d 2.913, 2θ = 30.69°, rel. 27.0
- d 2.422, 2θ = 37.11°, rel. 100.0
- d 2.191, 2θ = 41.20°, rel. 40.2
- d 1.466, 2θ = 63.43°, rel. 28.0
- d 1.425, 2θ = 65.52°, rel. 23.8